[1]
MgFe8O14F2: theoretical powder diffraction line list (copper Kα), based on a cell relaxed with PBE+U.

Top 6 peaks for 2θ = 10–80°, by intensity:
d_spacing	I (rel.)	(hkl)
4.035	100	1 1 0
3.188	98	1 -1 0
2.529	34	1 0 4
2.508	31	1 0 -4
1.683	21	2 -1 4
1.671	16	2 2 4

```
MgFe8O14F2
1.0
5.132 0.000 0.000
1.192 5.014 0.000
0.145 0.095 11.658
Mg Fe O F
1 8 14 2
Direct
0.000 0.000 0.000 Mg
0.104 0.098 0.643 Fe
0.110 0.100 0.375 Fe
0.272 0.290 0.866 Fe
0.278 0.282 0.143 Fe
0.655 0.660 0.999 Fe
0.673 0.732 0.510 Fe
0.685 0.685 0.265 Fe
0.688 0.697 0.755 Fe
0.008 0.385 0.008 O
0.342 0.999 0.510 O
0.377 0.995 0.760 O
0.384 0.000 0.255 O
0.384 0.016 0.008 O
0.509 0.515 0.869 O
0.514 0.517 0.133 O
0.532 0.559 0.397 O
0.537 0.566 0.631 O
0.835 0.834 0.886 O
0.852 0.872 0.635 O
0.859 0.875 0.388 O
0.987 0.388 0.753 O
0.998 0.385 0.259 O
0.860 0.857 0.131 F
0.975 0.365 0.509 F
```

=====

[2]
MgFe8O14F2: theoretical powder diffraction line list (copper Kα), based on a cell relaxed with PBE+U.

Top 6 peaks for 2θ = 10–80°, by intensity:
d_spacing	I (rel.)	(hkl)
3.738	100	1 0 -1
3.360	80	1 2 1
2.525	38	2 0 2
2.483	22	1 -2 1
2.503	17	1 0 3
2.565	17	2 2 0

```
MgFe8O14F2
1.0
5.920 0.000 0.000
2.643 6.815 0.000
2.413 -0.251 7.235
Mg Fe O F
1 8 14 2
Direct
0.000 0.000 0.000 Mg
0.027 0.500 0.461 Fe
0.252 0.727 0.716 Fe
0.287 0.243 0.704 Fe
0.471 0.497 0.000 Fe
0.557 0.967 0.925 Fe
0.643 0.752 0.285 Fe
0.702 0.286 0.272 Fe
0.970 0.003 0.491 Fe
0.020 0.084 0.237 O
0.088 0.235 0.551 O
0.153 0.516 0.660 O
0.158 0.696 0.977 O
0.320 0.822 0.470 O
0.321 0.982 0.793 O
0.370 0.440 0.269 O
0.406 0.262 0.902 O
0.563 0.729 0.059 O
0.618 0.187 0.511 O
0.796 0.302 0.015 O
0.825 0.482 0.322 O
0.878 0.772 0.425 O
0.897 0.936 0.765 O
0.601 0.559 0.722 F
0.642 0.011 0.162 F
```

=====

[3]
MgFe4O4F4: theoretical powder diffraction line list (copper Kα), based on a cell relaxed with PBE+U.

Top 6 peaks for 2θ = 10–80°, by intensity:
d_spacing	I (rel.)	(hkl)
3.407	100	1 0 2
3.655	96	1 0 -2
2.639	71	1 1 0
2.598	70	0 1 2
1.860	53	2 1 -2
1.792	46	2 1 2

```
MgFe4O4F4
1.0
5.142 0.000 0.000
0.000 3.077 0.000
-0.681 0.000 9.702
Mg Fe O F
1 4 4 4
Direct
0.000 0.000 0.000 Mg
0.075 0.500 0.724 Fe
0.500 0.000 0.000 Fe
0.500 0.000 0.500 Fe
0.925 0.500 0.276 Fe
0.238 0.500 0.926 O
0.241 0.000 0.656 O
0.759 0.000 0.344 O
0.762 0.500 0.074 O
0.183 0.000 0.181 F
0.253 0.500 0.403 F
0.747 0.500 0.597 F
0.817 0.000 0.819 F
```

=====

[4]
MgFe6O6F6: theoretical powder diffraction line list (copper Kα), based on a cell relaxed with PBE+U.

Top 6 peaks for 2θ = 10–80°, by intensity:
d_spacing	I (rel.)	(hkl)
3.531	100	1 0 -3
2.596	44	0 1 3
2.636	25	1 1 0
1.826	23	2 1 -3
1.787	23	1 1 -6
2.318	21	1 1 -3

```
MgFe6O6F6
1.0
5.135 0.000 0.000
0.000 3.072 0.000
-0.037 0.000 14.582
Mg Fe O F
1 6 6 6
Direct
0.000 0.000 0.000 Mg
0.061 0.500 0.812 Fe
0.101 0.500 0.501 Fe
0.125 0.500 0.192 Fe
0.474 0.000 0.990 Fe
0.491 0.000 0.665 Fe
0.678 0.000 0.344 Fe
0.226 0.500 0.946 O
0.240 0.000 0.112 O
0.252 0.000 0.758 O
0.377 0.500 0.588 O
0.805 0.500 0.409 O
0.923 0.000 0.244 O
0.279 0.000 0.428 F
0.438 0.500 0.279 F
0.734 0.500 0.717 F
0.761 0.500 0.049 F
0.774 0.000 0.892 F
0.916 0.000 0.561 F
```

=====

[5]
MgFe6O6F6: theoretical powder diffraction line list (copper Kα), based on a cell relaxed with PBE+U.

Top 6 peaks for 2θ = 10–80°, by intensity:
d_spacing	I (rel.)	(hkl)
3.338	100	0 1 3
3.144	65	0 1 -4
2.700	57	1 1 0
4.838	54	0 0 3
1.519	48	1 -3 1
2.712	44	1 -1 0

```
MgFe6O6F6
1.0
3.182 0.000 0.000
-0.008 5.187 0.000
-0.372 -1.702 14.515
Mg Fe O F
1 6 6 6
Direct
0.000 0.000 0.000 Mg
0.429 0.592 0.344 Fe
0.467 0.667 0.652 Fe
0.498 0.489 0.995 Fe
0.919 0.041 0.247 Fe
0.951 0.128 0.529 Fe
0.985 0.282 0.793 Fe
0.005 0.296 0.923 O
0.419 0.839 0.259 O
0.458 0.976 0.585 O
0.481 0.441 0.759 O
0.924 0.402 0.302 O
0.961 0.481 0.603 O
0.442 0.277 0.455 F
0.490 0.831 0.932 F
0.512 0.168 0.076 F
0.938 0.806 0.428 F
0.977 0.912 0.740 F
0.986 0.693 0.069 F
```

=====

[6]
MgFe6O11F: theoretical powder diffraction line list (copper Kα), based on a cell relaxed with PBE+U.

Top 6 peaks for 2θ = 10–80°, by intensity:
d_spacing	I (rel.)	(hkl)
3.834	100	2 0 -1
3.311	79	0 0 3
2.543	59	1 1 1
2.530	58	1 1 -2
1.715	27	1 1 -5
1.846	22	3 1 -3

```
MgFe6O11F
1.0
7.670 0.000 0.000
0.000 2.942 0.000
-3.651 0.000 9.933
Mg Fe O F
1 6 11 1
Direct
0.000 0.000 0.000 Mg
0.213 0.000 0.817 Fe
0.397 0.500 0.157 Fe
0.508 0.000 0.476 Fe
0.614 0.500 0.798 Fe
0.822 0.000 0.180 Fe
0.947 0.500 0.502 Fe
0.036 0.000 0.632 O
0.274 0.000 0.025 O
0.356 0.500 0.478 O
0.363 0.500 0.809 O
0.409 0.000 0.279 O
0.594 0.000 0.674 O
0.646 0.500 0.159 O
0.679 0.500 0.480 O
0.719 0.000 0.918 O
0.934 0.000 0.378 O
0.971 0.500 0.127 O
0.009 0.500 0.857 F
```